Starting from DFT lattice parameters and positions (GGA+U), the powder diffractogram of LiVO2F was computed for a wavelength of 1.5418 Å.
Kinematic intensities with the Lorentz-polarization factor, no thermal factor.

Structure:
```
LiVO2F
1.0
13.845 0.000 0.000
0.000 3.521 0.000
0.000 0.000 4.907
Li V O F
4 4 8 4
direct
0.171 0.250 0.133
0.329 0.750 0.633
0.671 0.250 0.367
0.829 0.750 0.867
0.082 0.750 0.599
0.418 0.250 0.099
0.582 0.750 0.901
0.918 0.250 0.401
0.062 0.250 0.437
0.109 0.750 0.930
0.391 0.250 0.430
0.438 0.750 0.937
0.562 0.250 0.063
0.609 0.750 0.570
0.891 0.250 0.070
0.938 0.750 0.563
0.210 0.750 0.422
0.290 0.250 0.922
0.710 0.750 0.078
0.790 0.250 0.578
```

The 10 most intense peaks (15 to 90 degrees two-theta), sorted by position:
2theta	Rel. int.
19.2	100
22.2	16
28.4	62
31.3	24
31.6	18
31.9	19
33.9	20
39.0	20
49.7	19
51.9	19


Starting from DFT lattice parameters and positions (GGA+U), the powder diffractogram of LiV3O4F2 was computed for a wavelength of 1.5418 Å.
Kinematic intensities with the Lorentz-polarization factor, no thermal factor.

Structure:
```
LiV3O4F2
1.0
10.287 0.000 0.000
0.000 8.675 0.000
0.000 0.000 4.897
Li V O F
4 12 16 8
direct
0.220 0.250 0.041
0.280 0.750 0.541
0.720 0.250 0.459
0.780 0.750 0.959
0.101 0.750 0.961
0.142 0.075 0.485
0.142 0.425 0.485
0.358 0.575 0.985
0.358 0.925 0.985
0.399 0.250 0.461
0.601 0.750 0.539
0.642 0.075 0.015
0.642 0.425 0.015
0.858 0.575 0.515
0.858 0.925 0.515
0.899 0.250 0.039
0.061 0.250 0.261
0.199 0.582 0.751
0.199 0.918 0.751
0.233 0.250 0.672
0.267 0.750 0.172
0.301 0.082 0.251
0.301 0.418 0.251
0.439 0.750 0.761
0.561 0.250 0.239
0.699 0.582 0.749
0.699 0.918 0.749
0.733 0.250 0.828
0.767 0.750 0.328
0.801 0.082 0.249
0.801 0.418 0.249
0.939 0.750 0.739
0.031 0.589 0.266
0.031 0.911 0.266
0.469 0.089 0.766
0.469 0.411 0.766
0.531 0.589 0.234
0.531 0.911 0.234
0.969 0.089 0.734
0.969 0.411 0.734
```

The 10 most intense peaks (15 to 90 degrees two-theta), sorted by position:
2theta	Rel. int.
22.6	100
28.8	68
31.9	21
33.5	30
35.6	28
38.2	23
40.2	37
51.5	27
52.1	62
63.0	25


Starting from DFT lattice parameters and positions (GGA+U), the powder diffractogram of Li7VO5F was computed for a wavelength of 1.5418 Å.
Kinematic intensities with the Lorentz-polarization factor, no thermal factor.

Structure:
```
Li7VO5F
1.0
5.712 0.000 0.000
-2.646 5.173 0.000
-0.306 -3.310 4.778
Li V O F
7 1 5 1
direct
0.000 0.000 0.000
0.003 0.483 0.492
0.055 0.018 0.503
0.461 0.421 0.484
0.505 0.968 0.009
0.519 0.500 0.025
0.601 0.898 0.523
0.067 0.536 0.025
0.236 0.956 0.218
0.246 0.476 0.244
0.246 0.481 0.761
0.690 0.257 0.895
0.845 0.740 0.599
0.759 0.979 0.250
```

The 10 most intense peaks (15 to 90 degrees two-theta), sorted by position:
2theta	Rel. int.
18.4	45
18.6	100
18.8	42
20.9	27
21.2	29
22.4	36
30.2	35
30.8	61
35.1	34
35.7	32


Starting from DFT lattice parameters and positions (GGA+U), the powder diffractogram of Li2VO2F was computed for a wavelength of 1.5418 Å.
Kinematic intensities with the Lorentz-polarization factor, no thermal factor.

Structure:
```
Li2VO2F
1.0
2.578 -4.485 0.000
2.578 4.485 0.000
-1.734 0.000 9.720
Li V O F
8 4 8 4
direct
0.000 0.000 0.000
0.092 0.412 0.247
0.265 0.269 0.749
0.411 0.116 0.243
0.588 0.908 0.753
0.652 0.348 0.000
0.731 0.735 0.251
0.884 0.589 0.757
0.164 0.836 0.500
0.351 0.649 0.000
0.497 0.503 0.500
0.830 0.170 0.500
0.124 0.129 0.383
0.202 0.541 0.615
0.369 0.388 0.119
0.459 0.798 0.385
0.536 0.209 0.617
0.612 0.631 0.881
0.791 0.464 0.383
0.871 0.876 0.617
0.056 0.713 0.118
0.287 0.944 0.882
0.703 0.042 0.123
0.958 0.297 0.877
```

The 10 most intense peaks (15 to 90 degrees two-theta), sorted by position:
2theta	Rel. int.
18.3	100
34.8	11
35.2	26
35.4	15
42.9	96
43.0	49
47.0	13
62.1	12
62.3	64
78.5	11


Starting from DFT lattice parameters and positions (GGA+U), the powder diffractogram of Li3V2O4F2 was computed for a wavelength of 1.5418 Å.
Kinematic intensities with the Lorentz-polarization factor, no thermal factor.

Structure:
```
Li3V2O4F2
1.0
5.139 0.000 0.000
0.000 6.103 0.000
-2.337 0.000 7.726
Li V O F
6 4 8 4
direct
0.000 0.000 0.000
0.089 0.250 0.762
0.089 0.750 0.762
0.542 0.250 0.999
0.542 0.750 0.999
0.634 0.500 0.762
0.323 0.250 0.382
0.323 0.750 0.382
0.823 0.000 0.383
0.823 0.500 0.379
0.041 0.247 0.517
0.041 0.753 0.517
0.076 0.000 0.247
0.087 0.500 0.259
0.560 0.000 0.504
0.571 0.500 0.516
0.605 0.253 0.245
0.605 0.747 0.245
0.295 0.000 0.899
0.338 0.500 0.862
0.817 0.250 0.881
0.817 0.750 0.881
```

The 10 most intense peaks (15 to 90 degrees two-theta), sorted by position:
2theta	Rel. int.
23.0	100
34.8	19
37.2	39
38.3	96
45.0	20
45.7	14
51.0	22
53.9	33
62.3	22
65.4	17


Starting from DFT lattice parameters and positions (GGA+U), the powder diffractogram of Li7VO5F was computed for a wavelength of 1.5418 Å.
Kinematic intensities with the Lorentz-polarization factor, no thermal factor.

Structure:
```
Li7VO5F
1.0
5.572 0.000 0.000
2.734 4.859 0.000
0.348 0.128 10.824
Li V O F
14 2 10 2
direct
0.000 0.000 0.000
0.007 0.047 0.370
0.036 0.643 0.873
0.249 0.403 0.369
0.288 0.685 0.672
0.309 0.663 0.150
0.343 0.019 0.503
0.349 0.305 0.012
0.596 0.744 0.000
0.636 0.403 0.868
0.645 0.365 0.501
0.906 0.705 0.510
0.952 0.361 0.173
0.984 0.327 0.651
0.624 0.014 0.740
0.643 0.999 0.239
0.319 0.651 0.962
0.320 0.311 0.195
0.342 0.997 0.678
0.623 0.331 0.690
0.627 0.715 0.177
0.640 0.051 0.410
0.675 0.016 0.910
0.938 0.694 0.697
0.956 0.007 0.191
0.995 0.338 0.464
0.271 0.698 0.461
0.958 0.372 0.961
```

The 10 most intense peaks (15 to 90 degrees two-theta), sorted by position:
2theta	Rel. int.
16.4	42
18.3	100
18.5	65
24.4	60
24.8	47
24.9	47
25.2	54
32.1	63
33.1	80
56.9	50